Simulated powder X-ray diffraction pattern
Compound: Mo4PbBr
Radiation: λ = 1.5418 Å (Cu Kα)
Structure: the GGA-PBE geometry in Alexandria
Kinematic intensities with the Lorentz-polarization factor, no thermal factor.

The 10 most intense peaks (5° ≤ 2θ ≤ 70°), by angle:
2θ = 20.01°, I = 5; 2θ = 23.14°, I = 12; 2θ = 32.96°, I = 39; 2θ = 38.86°, I = 100; 2θ = 40.66°, I = 30; 2θ = 51.85°, I = 4; 2θ = 53.30°, I = 3; 2θ = 58.86°, I = 15; 2θ = 62.82°, I = 33; 2θ = 69.13°, I = 25

Crystal structure
Lattice parameters (Å, degrees): 5.435 5.435 5.435 60.00 60.00 60.00
Fractional positions:
Mo: 0.379 0.379 0.379
Mo: 0.379 0.379 0.862
Mo: 0.379 0.862 0.379
Mo: 0.862 0.379 0.379
Pb: 0.000 0.000 0.000
Br: 0.750 0.750 0.750